CeCoIrO6: theoretical XRD peak list (λ = 1.5418 Å (Cu Kα)), based on a cell relaxed with PBE+U.

Structural model:
```
CeCoIrO6
1.0
5.379 0.000 0.000
-2.690 4.659 0.000
0.000 0.000 8.630
Ce Co Ir O
2 2 2 12
direct
0.333 0.667 0.250 Ce
0.667 0.333 0.750 Ce
0.000 0.000 0.000 Co
0.000 0.000 0.500 Co
0.333 0.667 0.750 Ir
0.667 0.333 0.250 Ir
0.039 0.352 0.622 O
0.039 0.687 0.878 O
0.313 0.352 0.878 O
0.313 0.961 0.622 O
0.352 0.039 0.122 O
0.352 0.313 0.378 O
0.648 0.687 0.622 O
0.648 0.961 0.878 O
0.687 0.039 0.378 O
0.687 0.648 0.122 O
0.961 0.313 0.122 O
0.961 0.648 0.378 O
```

The 8 most intense peaks (10° ≤ 2θ ≤ 90°), by angle:
two_theta	Rel. int.
19.05	25
20.58	47
28.19	100
33.31	73
39.48	62
44.19	29
54.53	57
56.44	28